For B7C3, a structure optimized by DFT (PBE) gives the theoretical X-ray powder pattern in this record (copper Kα).

Cell lengths 7.7433, 7.7433, 3.7711 Å; angles 103.21, 103.21, 20.56 degrees
Element x y z (fractional)
B 0.0000 0.0000 0.0000
B 0.0798 0.0798 0.4081
B 0.2261 0.2261 0.0810
B 0.3953 0.3953 0.4121
B 0.5100 0.5100 0.7098
B 0.7714 0.7714 0.6202
B 0.9589 0.9589 0.4072
C 0.2981 0.2981 0.4741
C 0.6136 0.6136 0.5828
C 0.7004 0.7004 0.8834

Top 8 peaks for 10° ≤ 2θ ≤ 90°, low angle first:
11.94°, 7.411 Å, intensity 43; 24.02°, 3.705 Å, intensity 64; 24.27°, 3.668 Å, intensity 100; 24.45°, 3.641 Å, intensity 43; 37.27°, 2.412 Å, intensity 45; 38.33°, 2.348 Å, intensity 49; 38.94°, 2.313 Å, intensity 80; 40.46°, 2.229 Å, intensity 91